Structure and simulated powder diffractogram of La4NCl5 (DFT lattice parameters and positions (PBE); Cu Ka).
Lines closer than 0.1° are merged.

Largest 6 diffraction maxima, in order of rising 2θ, 5° ≤ 2θ ≤ 70°:
Position (°2θ)	I_rel
10.25	45
11.20	84
27.58	30
31.10	45
31.67	100
45.45	29

Cell and atoms:
a b c (Å): 9.1393 9.1393 8.1723
angles (deg): 104.52 104.52 24.71
Sites, in units of the cell vectors:
La 0.0023 0.0023 0.2887
La 0.3550 0.3550 0.4132
La 0.6450 0.6450 0.5868
La 0.9977 0.9977 0.7113
N 0.5000 0.5000 0.5000
Cl 0.1634 0.1634 0.8524
Cl 0.1725 0.1725 0.3389
Cl 0.5000 0.5000 0.0000
Cl 0.8275 0.8275 0.6611
Cl 0.8366 0.8366 0.1476


Structure and simulated powder diffractogram of La8N6Cl (DFT lattice parameters and positions (PBE); Cu Ka).
Lines closer than 0.1° are merged.

Largest 6 diffraction maxima, in order of rising 2θ, 5° ≤ 2θ ≤ 70°:
Position (°2θ)	I_rel
10.26	36
29.84	92
31.11	100
31.64	32
36.54	31
43.65	32

Cell and atoms:
a b c (Å): 9.9584 9.9584 3.7468
angles (deg): 90.00 90.00 120.00
Sites, in units of the cell vectors:
La 0.0356 0.6721 0.2466
La 0.3279 0.3635 0.2466
La 0.3333 0.6667 0.7482
La 0.3635 0.0356 0.7534
La 0.6365 0.9644 0.2466
La 0.6667 0.3333 0.2518
La 0.6721 0.6365 0.7534
La 0.9644 0.3279 0.7534
N 0.1324 0.4790 0.2520
N 0.3465 0.8676 0.2520
N 0.4790 0.3465 0.7480
N 0.5210 0.6535 0.2520
N 0.6535 0.1324 0.7480
N 0.8676 0.5210 0.7480
Cl 0.0000 0.0000 0.0000


Structure and simulated powder diffractogram of La2NClO (DFT lattice parameters and positions (PBE); Cu Ka).
Lines closer than 0.1° are merged.

Largest 6 diffraction maxima, in order of rising 2θ, 5° ≤ 2θ ≤ 70°:
Position (°2θ)	I_rel
25.16	33
26.03	44
28.58	100
29.66	30
33.33	33
44.13	28

Cell and atoms:
a b c (Å): 7.1562 7.1562 10.1925
angles (deg): 126.74 126.74 33.15
Sites, in units of the cell vectors:
La 0.0624 0.0624 0.3069
La 0.3294 0.3294 0.9395
La 0.6706 0.6706 0.0605
La 0.9376 0.9376 0.6931
N 0.1373 0.1373 0.9140
N 0.8627 0.8627 0.0860
Cl 0.3306 0.3306 0.3912
Cl 0.6694 0.6694 0.6088
O 0.4366 0.4366 0.8056
O 0.5634 0.5634 0.1944


Structure and simulated powder diffractogram of La2SNCl2 (DFT lattice parameters and positions (PBE); Cu Ka).
Lines closer than 0.1° are merged.

Largest 6 diffraction maxima, in order of rising 2θ, 5° ≤ 2θ ≤ 70°:
Position (°2θ)	I_rel
10.30	38
24.32	35
26.05	100
31.79	44
33.67	94
38.39	51

Cell and atoms:
a b c (Å): 4.3332 8.5843 7.3212
angles (deg): 90.00 90.00 90.00
Sites, in units of the cell vectors:
La 0.0000 0.1142 0.0000
La 0.0000 0.8858 0.5000
La 0.5000 0.2700 0.4390
La 0.5000 0.7300 0.9390
S 0.5000 0.0338 0.7202
S 0.5000 0.9662 0.2202
N 0.0000 0.1617 0.3710
N 0.0000 0.8383 0.8710
Cl 0.0000 0.3686 0.7135
Cl 0.0000 0.6314 0.2135
Cl 0.5000 0.3522 0.0573
Cl 0.5000 0.6478 0.5573


Structure and simulated powder diffractogram of LaSmNCl (DFT lattice parameters and positions (PBE); Cu Ka).
Lines closer than 0.1° are merged.

Largest 6 diffraction maxima, in order of rising 2θ, 5° ≤ 2θ ≤ 70°:
Position (°2θ)	I_rel
12.27	31
28.24	65
32.55	73
34.91	100
49.42	40
63.58	28

Cell and atoms:
a b c (Å): 7.5226 7.5226 7.5226
angles (deg): 28.38 28.38 28.38
Sites, in units of the cell vectors:
La 0.0000 0.0000 0.0000
Sm 0.7913 0.7913 0.7913
N 0.4029 0.4029 0.4029
Cl 0.2227 0.2227 0.2227


Structure and simulated powder diffractogram of La2TeNCl2 (DFT lattice parameters and positions (PBE); Cu Ka).
Lines closer than 0.1° are merged.

Largest 6 diffraction maxima, in order of rising 2θ, 5° ≤ 2θ ≤ 70°:
Position (°2θ)	I_rel
11.19	36
24.39	34
25.65	63
30.46	100
32.40	37
36.39	38

Cell and atoms:
a b c (Å): 4.2318 7.9056 9.4955
angles (deg): 90.00 90.00 90.00
Sites, in units of the cell vectors:
La 0.0000 0.1221 0.0000
La 0.0000 0.8779 0.5000
La 0.5000 0.3011 0.5809
La 0.5000 0.6988 0.0809
Te 0.5000 0.0699 0.2760
Te 0.5000 0.9301 0.7760
N 0.0000 0.1548 0.5609
N 0.0000 0.8452 0.0609
Cl 0.0000 0.4420 0.1638
Cl 0.0000 0.5580 0.6638
Cl 0.5000 0.3642 0.8961
Cl 0.5000 0.6358 0.3961


Structure and simulated powder diffractogram of Na4La2Cl9 (DFT lattice parameters and positions (PBE); Cu Ka).
Lines closer than 0.1° are merged.

Largest 6 diffraction maxima, in order of rising 2θ, 5° ≤ 2θ ≤ 70°:
Position (°2θ)	I_rel
14.11	100
16.87	45
23.31	55
28.29	62
37.46	86
43.23	53

Cell and atoms:
a b c (Å): 7.2461 7.2490 19.2291
angles (deg): 89.98 89.96 60.04
Sites, in units of the cell vectors:
Na 0.1654 0.1669 0.1769
Na 0.1659 0.1661 0.9849
Na 0.1671 0.1663 0.4840
Na 0.1681 0.1658 0.6781
Na 0.8319 0.8342 0.3219
Na 0.8329 0.8337 0.5160
Na 0.8341 0.8339 0.0151
Na 0.8346 0.8331 0.8231
La 0.4989 0.5018 0.1546
La 0.4999 0.4987 0.3456
La 0.5001 0.5013 0.6544
La 0.5011 0.4982 0.8454
Cl 0.1420 0.5283 0.4153
Cl 0.1439 0.8291 0.9146
Cl 0.1692 0.4746 0.0850
Cl 0.1703 0.8584 0.5851
Cl 0.1874 0.5004 0.7499
Cl 0.1875 0.8132 0.2503
Cl 0.4717 0.1724 0.5847
Cl 0.4723 0.8578 0.0843
Cl 0.4980 0.1881 0.2496
Cl 0.5020 0.8119 0.7504
Cl 0.5277 0.1422 0.9157
Cl 0.5283 0.8276 0.4153
Cl 0.8125 0.1868 0.7497
Cl 0.8126 0.4996 0.2501
Cl 0.8297 0.1416 0.4149
Cl 0.8308 0.5254 0.9150
Cl 0.8561 0.1709 0.0854
Cl 0.8580 0.4717 0.5847


Structure and simulated powder diffractogram of NaLa2Cl4 (DFT lattice parameters and positions (PBE); Cu Ka).
Lines closer than 0.1° are merged.

Largest 6 diffraction maxima, in order of rising 2θ, 5° ≤ 2θ ≤ 70°:
Position (°2θ)	I_rel
13.32	57
13.52	62
28.04	100
29.35	61
36.99	37
40.68	36

Cell and atoms:
a b c (Å): 8.0040 8.0040 8.0040
angles (deg): 112.62 110.49 105.38
Sites, in units of the cell vectors:
Na 0.0000 0.0000 0.0000
Na 0.8021 0.3021 0.5000
La 0.4032 0.1335 0.7303
La 0.4032 0.6728 0.2697
La 0.4161 0.6920 0.7242
La 0.9678 0.6920 0.2758
Cl 0.0989 0.3870 0.2880
Cl 0.0989 0.8109 0.7120
Cl 0.1805 0.3850 0.7955
Cl 0.2935 0.9983 0.2953
Cl 0.5895 0.3850 0.2045
Cl 0.7030 0.9983 0.7047
Cl 0.7184 0.5208 0.8024
Cl 0.7184 0.9160 0.1976